This entry pairs a crystal structure of CsPmCl3 with its theoretical XRD peak list. Radiation: Cu Kα (weighted mean of Kα1 and Kα2). Structure: the PBE geometry in Alexandria.

Crystal structure
```
CsPmCl3
1.0
-4.428 4.683 5.900
4.428 -4.683 5.900
4.428 4.683 -5.900
Cs Pm Cl
2 2 6
Cartesian
0.000 2.121 0.000 Cs
0.000 7.245 0.000 Cs
4.428 0.000 1.598 Pm
0.000 4.683 4.302 Pm
1.833 0.000 2.184 Cl
7.022 0.000 2.184 Cl
4.428 2.241 0.000 Cl
0.000 2.442 5.900 Cl
-2.594 4.683 3.716 Cl
2.594 4.683 3.716 Cl
```

Top 10 peaks for 2θ = 15–90°, by angle:
d/Å  2θ (°)  intensity
4.428  20.05  68
3.906  22.76  100
3.668  24.27  76
3.627  24.55  40
3.595  24.77  51
3.541  25.15  47
2.682  33.41  30
2.496  35.98  47
2.444  36.77  70
2.174  41.53  60

=====

This entry pairs a crystal structure of Na2B2AsO6 with its theoretical XRD peak list. Radiation: Cu Kα (weighted mean of Kα1 and Kα2). Structure: the PBE geometry in Alexandria.

Crystal structure
```
Na2B2AsO6
1.0
4.254 -2.561 0.000
4.254 2.561 0.000
-2.613 0.000 5.418
Na B As O
2 2 1 6
Cartesian
1.275 0.000 0.804 Na
4.619 0.000 4.614 Na
1.837 0.000 3.833 B
4.057 0.000 1.585 B
-1.307 0.000 2.709 As
3.353 1.182 1.294 O
0.579 0.000 3.329 O
2.541 1.182 4.124 O
3.353 -1.182 1.294 O
5.315 0.000 2.089 O
2.541 -1.182 4.124 O
```

Top 10 peaks for 2θ = 15–90°, by angle:
d/Å  2θ (°)  intensity
5.418  16.36  62
4.258  20.86  53
3.829  23.23  59
3.013  29.65  26
2.586  34.69  100
2.479  36.23  38
2.118  42.68  25
1.914  47.50  48
1.862  48.93  27
1.836  49.65  24

=====

This entry pairs a crystal structure of LaSc2Ga2Cu2 with its theoretical XRD peak list. Radiation: Cu Kα (weighted mean of Kα1 and Kα2). Structure: the PBE geometry in Alexandria.

Crystal structure
```
LaSc2Ga2Cu2
1.0
2.193 1.266 8.608
-2.193 1.266 8.608
0.000 -2.532 8.608
La Sc Ga Cu
1 2 2 2
Cartesian
0.000 0.000 0.000 La
0.000 0.000 3.392 Sc
0.000 0.000 22.433 Sc
0.000 0.000 6.462 Ga
0.000 0.000 19.362 Ga
0.000 0.000 10.923 Cu
0.000 0.000 14.902 Cu
```

Top 10 peaks for 2θ = 15–90°, by angle:
d/Å  2θ (°)  intensity
3.274  27.24  24
3.060  29.18  35
2.646  33.87  82
2.460  36.53  38
2.193  41.16  100
1.742  52.52  18
1.689  54.33  20
1.536  60.25  26
1.338  70.37  18
1.266  75.02  16

=====

This entry pairs a crystal structure of Cs2RbPa2O7 with its theoretical XRD peak list. Radiation: Cu Kα (weighted mean of Kα1 and Kα2). Structure: the PBE geometry in Alexandria.

Crystal structure
```
Cs2RbPa2O7
1.0
-2.224 2.224 12.052
2.224 -2.224 12.052
2.224 2.224 -12.052
Cs Rb Pa O
2 1 2 7
Cartesian
0.000 0.000 4.604 Cs
0.000 0.000 19.499 Cs
0.000 0.000 0.000 Rb
0.000 0.000 9.855 Pa
0.000 0.000 14.248 Pa
2.224 0.000 2.170 O
0.000 0.000 7.835 O
2.224 0.000 9.882 O
0.000 0.000 12.052 O
0.000 2.224 2.170 O
0.000 0.000 16.269 O
0.000 2.224 9.882 O
```

Top 10 peaks for 2θ = 15–90°, by angle:
d/Å  2θ (°)  intensity
4.373  20.31  20
3.269  27.28  100
3.145  28.38  52
2.410  37.31  12
2.224  40.57  27
1.913  47.53  18
1.839  49.58  40
1.634  56.29  14
1.406  66.49  10
1.195  80.36  10

=====

This entry pairs a crystal structure of Dy2CuHgO5 with its theoretical XRD peak list. Radiation: Cu Kα (weighted mean of Kα1 and Kα2). Structure: the PBE geometry in Alexandria.

Crystal structure
```
Dy2CuHgO5
1.0
6.600 0.000 0.000
0.000 6.600 0.000
0.000 0.000 5.506
Dy Cu Hg O
4 2 2 10
Cartesian
1.151 2.149 0.000 Dy
2.149 5.449 0.000 Dy
4.451 1.151 0.000 Dy
5.449 4.451 0.000 Dy
0.000 3.300 2.753 Cu
3.300 0.000 2.753 Cu
0.000 0.000 2.753 Hg
3.300 3.300 2.753 Hg
0.000 0.000 0.000 O
0.874 4.174 1.356 O
0.874 4.174 4.150 O
2.426 0.874 1.356 O
2.426 0.874 4.150 O
3.300 3.300 0.000 O
4.174 5.725 1.356 O
4.174 5.725 4.150 O
5.725 2.426 1.356 O
5.725 2.426 4.150 O
```

Top 10 peaks for 2θ = 15–90°, by angle:
d/Å  2θ (°)  intensity
3.560  25.01  30
2.951  30.28  19
2.830  31.61  100
2.753  32.52  35
2.601  34.48  44
2.333  38.59  24
2.087  43.36  23
2.013  45.03  30
1.780  51.33  21
1.604  57.46  19

=====

This entry pairs a crystal structure of Ti3FeCo2 with its theoretical XRD peak list. Radiation: Cu Kα (weighted mean of Kα1 and Kα2). Structure: the PBE geometry in Alexandria.

Crystal structure
```
Ti3FeCo2
1.0
4.205 0.000 0.000
-2.103 3.642 0.000
0.000 0.000 10.293
Ti Fe Co
6 2 4
Cartesian
0.000 0.000 2.554 Ti
0.000 0.000 7.739 Ti
0.000 2.428 4.269 Ti
0.000 2.428 9.438 Ti
2.103 1.214 0.855 Ti
2.103 1.214 6.025 Ti
0.000 2.428 1.715 Fe
2.103 1.214 8.579 Fe
0.000 0.000 0.000 Co
0.000 0.000 5.147 Co
0.000 2.428 6.864 Co
2.103 1.214 3.429 Co
```

Top 6 peaks for 2θ = 15–90°, by angle:
d/Å  2θ (°)  intensity
2.973  30.06  2
2.102  43.03  100
1.716  53.38  1
1.486  62.48  15
1.329  70.88  1
1.214  78.87  28

=====

This entry pairs a crystal structure of BC2 with its theoretical XRD peak list. Radiation: Cu Kα (weighted mean of Kα1 and Kα2). Structure: the PBE geometry in Alexandria.

Crystal structure
```
BC2
1.0
2.625 0.000 0.000
-1.312 2.273 0.000
0.000 0.000 14.241
B C
4 8
Cartesian
0.000 0.000 0.000 B
0.000 0.000 3.527 B
1.312 0.758 7.539 B
1.312 0.758 12.432 B
0.000 0.000 8.216 C
0.000 0.000 9.704 C
0.000 1.516 3.748 C
0.000 1.516 5.418 C
0.000 1.516 10.269 C
0.000 1.516 11.760 C
1.312 0.758 5.920 C
1.312 0.758 14.087 C
```

Top 10 peaks for 2θ = 15–90°, by angle:
d/Å  2θ (°)  intensity
4.747  18.69  34
3.560  25.01  11
2.848  31.41  9
2.374  37.91  9
2.166  41.71  100
2.050  44.17  20
2.034  44.53  26
1.312  71.94  30
1.299  72.83  24
1.103  88.69  15

=====

This entry pairs a crystal structure of Ce2Nd5Rh4 with its theoretical XRD peak list. Radiation: Cu Kα (weighted mean of Kα1 and Kα2). Structure: the PBE geometry in Alexandria.

Crystal structure
```
Ce2Nd5Rh4
1.0
10.637 -1.834 0.000
10.637 1.834 0.000
-0.414 0.000 7.801
Ce Nd Rh
2 5 4
Cartesian
1.395 0.000 3.056 Ce
19.465 0.000 4.745 Ce
3.099 0.000 6.910 Nd
4.519 0.000 2.678 Nd
10.637 0.000 0.000 Nd
16.342 0.000 5.122 Nd
17.761 0.000 0.890 Nd
0.460 0.000 5.681 Rh
7.677 0.000 3.123 Rh
13.184 0.000 4.678 Rh
20.400 0.000 2.119 Rh
```

Top 10 peaks for 2θ = 15–90°, by angle:
d/Å  2θ (°)  intensity
3.609  24.67  42
3.290  27.10  47
3.265  27.31  25
3.032  29.46  38
2.663  33.66  100
2.555  35.12  29
2.386  37.70  29
2.338  38.50  29
2.215  40.74  48
1.834  49.72  28

=====

Please write out number 2 again, unchanged.
This entry pairs a crystal structure of Na2B2AsO6 with its theoretical XRD peak list. Radiation: Cu Kα (weighted mean of Kα1 and Kα2). Structure: the PBE geometry in Alexandria.

Crystal structure
```
Na2B2AsO6
1.0
4.254 -2.561 0.000
4.254 2.561 0.000
-2.613 0.000 5.418
Na B As O
2 2 1 6
Cartesian
1.275 0.000 0.804 Na
4.619 0.000 4.614 Na
1.837 0.000 3.833 B
4.057 0.000 1.585 B
-1.307 0.000 2.709 As
3.353 1.182 1.294 O
0.579 0.000 3.329 O
2.541 1.182 4.124 O
3.353 -1.182 1.294 O
5.315 0.000 2.089 O
2.541 -1.182 4.124 O
```

Top 10 peaks for 2θ = 15–90°, by angle:
d/Å  2θ (°)  intensity
5.418  16.36  62
4.258  20.86  53
3.829  23.23  59
3.013  29.65  26
2.586  34.69  100
2.479  36.23  38
2.118  42.68  25
1.914  47.50  48
1.862  48.93  27
1.836  49.65  24